# 1
Starting from a structure optimized by DFT (GGA-PBE), the X-ray powder pattern of Ca2DyHg6 was calculated for Cu Kα (λ = 1.5418 Å).
No peak broadening, texture or thermal motion is included.

Cell and atoms:
```
Ca2DyHg6
1.0
7.306 -5.856 0.000
7.306 5.856 0.000
-0.962 0.000 5.419
Ca Dy Hg
4 2 12
direct
0.042 0.290 0.083 Ca
0.290 0.042 0.583 Ca
0.710 0.958 0.417 Ca
0.958 0.710 0.917 Ca
0.373 0.627 0.750 Dy
0.627 0.373 0.250 Dy
0.073 0.815 0.473 Hg
0.154 0.406 0.640 Hg
0.185 0.927 0.027 Hg
0.269 0.512 0.194 Hg
0.406 0.154 0.140 Hg
0.488 0.731 0.306 Hg
0.512 0.269 0.694 Hg
0.594 0.846 0.860 Hg
0.731 0.488 0.806 Hg
0.815 0.073 0.973 Hg
0.846 0.594 0.360 Hg
0.927 0.185 0.527 Hg
```

Top 6 peaks for 2θ from 10° to 90°, sorted by position:
two_theta, Rel. int.
30.53, 63
33.47, 100
35.74, 84
40.11, 61
51.23, 30
57.70, 21

---

# 2
Starting from a structure optimized by DFT (GGA-PBE), the X-ray powder pattern of CaLaDy2Hg4 was calculated for Cu Kα (λ = 1.5418 Å).
No peak broadening, texture or thermal motion is included.

Cell and atoms:
```
CaLaDy2Hg4
1.0
2.663 1.537 8.836
-2.663 1.537 8.836
0.000 -3.074 8.836
Ca La Dy Hg
1 1 2 4
direct
0.000 0.000 0.000 Ca
0.500 0.500 0.500 La
0.253 0.253 0.253 Dy
0.747 0.747 0.747 Dy
0.122 0.122 0.122 Hg
0.374 0.374 0.374 Hg
0.626 0.626 0.626 Hg
0.878 0.878 0.878 Hg
```

Top 6 peaks for 2θ from 10° to 90°, sorted by position:
two_theta, Rel. int.
33.30, 100
33.66, 99
48.07, 36
59.26, 19
59.97, 37
60.20, 19

---

# 3
Starting from a structure optimized by DFT (GGA-PBE), the X-ray powder pattern of CaDyMgHg was calculated for Cu Kα (λ = 1.5418 Å).
No peak broadening, texture or thermal motion is included.

Cell and atoms:
```
CaDyMgHg
1.0
3.826 0.000 0.000
0.000 3.826 0.000
0.000 0.000 7.556
Ca Dy Mg Hg
1 1 1 1
direct
0.000 0.000 0.000 Ca
0.000 0.000 0.477 Dy
0.500 0.500 0.728 Mg
0.500 0.500 0.257 Hg
```

Top 6 peaks for 2θ from 10° to 90°, sorted by position:
two_theta, Rel. int.
11.71, 85
26.11, 35
33.11, 52
33.33, 100
35.24, 27
59.29, 38

---

# 4
Starting from a structure optimized by DFT (GGA-PBE), the X-ray powder pattern of CaPm2DyHg4 was calculated for Cu Kα (λ = 1.5418 Å).
No peak broadening, texture or thermal motion is included.

Cell and atoms:
```
CaPm2DyHg4
1.0
2.674 1.544 8.721
-2.674 1.544 8.721
0.000 -3.088 8.721
Ca Pm Dy Hg
1 2 1 4
direct
0.000 0.000 0.000 Ca
0.252 0.252 0.252 Pm
0.748 0.748 0.748 Pm
0.500 0.500 0.500 Dy
0.127 0.127 0.127 Hg
0.377 0.377 0.377 Hg
0.623 0.623 0.623 Hg
0.873 0.873 0.873 Hg
```

Top 6 peaks for 2θ from 10° to 90°, sorted by position:
two_theta, Rel. int.
23.53, 6
33.53, 100
48.14, 18
59.94, 38
70.45, 12
80.32, 17